(1)
Theoretical powder XRD pattern of Ho7Cu5Sb for a wavelength of 1.5418 Å, from DFT lattice parameters and positions (GGA-PBE).

Crystal structure
```
Ho7Cu5Sb
1.0
4.2833 0.0000 0.0000
0.0000 4.2833 0.0000
0.0000 0.0000 16.6504
Ho Cu Sb
7 5 1
direct
0.0000 0.0000 0.0000
0.0000 0.0000 0.1959
0.0000 0.0000 0.4487
0.0000 0.0000 0.6547
0.5000 0.5000 0.1231
0.5000 0.5000 0.5944
0.5000 0.5000 0.8754
0.0000 0.0000 0.8358
0.0000 0.5000 0.3011
0.0000 0.5000 0.7569
0.5000 0.0000 0.3011
0.5000 0.0000 0.7569
0.5000 0.5000 0.4001
```

Most intense lines, 2θ from 5° to 70°, in order of rising 2θ:
d_spacing	I_rel
3.029	100.0
2.985	98.3
2.846	36.1
2.629	29.3
2.449	63.7
2.329	38.3
2.241	37.0
2.142	88.7
1.740	41.2
1.577	27.7
1.514	31.0
1.354	18.4

=====

(2)
Theoretical powder XRD pattern of Ac5Tm2Pb5 for a wavelength of 1.5418 Å, from DFT lattice parameters and positions (GGA-PBE).

Crystal structure
```
Ac5Tm2Pb5
1.0
7.8645 -2.3785 0.0000
7.8645 2.3785 0.0000
-4.8475 0.0000 12.5443
Ac Tm Pb
5 2 5
direct
0.0000 0.0000 0.0000
0.1630 0.1630 0.5400
0.2316 0.2316 0.8466
0.7684 0.7684 0.1534
0.8370 0.8370 0.4600
0.4497 0.4497 0.7055
0.5503 0.5503 0.2945
0.1778 0.1778 0.2847
0.3903 0.3903 0.0869
0.5000 0.5000 0.5000
0.6097 0.6097 0.9131
0.8222 0.8222 0.7153
```

Most intense lines, 2θ from 5° to 70°, in order of rising 2θ:
d_spacing	I_rel
4.094	40.4
3.522	100.0
3.410	56.7
3.373	84.2
3.174	72.2
3.099	37.8
3.044	62.1
2.723	65.2
2.391	49.9
2.378	69.8
2.317	54.4
1.903	46.9

=====

(3)
Theoretical powder XRD pattern of Pm8Nd3Th2 for a wavelength of 1.5418 Å, from DFT lattice parameters and positions (GGA-PBE).

Crystal structure
```
Pm8Nd3Th2
1.0
6.8499 0.0000 0.0000
3.4193 6.1439 0.0000
3.3722 0.1134 21.4613
Pm Nd Th
16 6 4
direct
0.0142 0.4044 0.4323
0.0280 0.1409 0.2822
0.1021 0.4027 0.0940
0.1179 0.8706 0.1448
0.3966 0.5653 0.9347
0.4482 0.0140 0.6544
0.4559 0.8349 0.8058
0.4793 0.5278 0.5946
0.5207 0.4722 0.4054
0.5441 0.1651 0.1942
0.5518 0.9860 0.3456
0.6034 0.4347 0.0653
0.8821 0.1294 0.8552
0.8979 0.5973 0.9060
0.9720 0.8591 0.7178
0.9858 0.5956 0.5677
0.0000 0.0000 0.0000
0.1215 0.6000 0.2893
0.3925 0.3544 0.7783
0.5000 0.0000 0.5000
0.6075 0.6456 0.2217
0.8785 0.4000 0.7107
0.0247 0.9188 0.4273
0.3994 0.1100 0.9379
0.6006 0.8900 0.0621
0.9753 0.0812 0.5727
```

Most intense lines, 2θ from 5° to 70°, in order of rising 2θ:
d_spacing	I_rel
3.270	26.4
3.053	19.0
3.044	37.7
2.993	46.1
2.963	100.0
2.893	43.3
2.885	80.9
2.827	95.9
2.817	26.6
2.760	68.3
2.585	38.4
2.161	23.1